1.
This entry pairs a crystal structure of In2PbSe4 with its theoretical powder X-ray diffraction pattern. Radiation: Cu Kα X-rays. Structure: a cell relaxed with PBE.

The 10 most intense peaks (2θ from 10° to 90°), sorted by position:
| two_theta | I (rel.) | h k l |
| --- | --- | --- |
| 15.25 | 36 | 1 1 0 |
| 22.16 | 34 | 1 1 2 |
| 22.81 | 18 | 0 2 2 |
| 27.68 | 23 | 1 3 0 |
| 28.61 | 20 | 1 1 3 |
| 28.85 | 21 | 1 3 1 |
| 32.27 | 26 | 0 0 4 |
| 32.69 | 21 | 0 4 0 |
| 34.87 | 100 | 2 2 2 |
| 46.48 | 17 | 1 5 2 |

Atomic structure:
```
data_In2PbSe4
_chemical_formula_sum 'In8 Pb4 Se16'
_space_group_name_H-M_alt 'C c c m'
_space_group_IT_number 66
_space_group_name_Hall '-C 2 2c'
_cell_length_a 6.851
_cell_length_b 10.957
_cell_length_c 11.096
_cell_angle_alpha 90.00
_cell_angle_beta 90.00
_cell_angle_gamma 90.00
loop_
_atom_site_label
_atom_site_type_symbol
_atom_site_fract_x
_atom_site_fract_y
_atom_site_fract_z
In1 In 0.003 0.226 0.000
Pb1 Pb 0.000 0.500 0.250
Se1 Se 0.217 0.430 0.500
Se2 Se 0.250 0.250 0.182
```

=====

2.
This entry pairs a crystal structure of Np4TeS6 with its theoretical powder X-ray diffraction pattern. Radiation: Cu Kα X-rays. Structure: a cell relaxed with PBE.

The 10 most intense peaks (2θ from 10° to 90°), sorted by position:
| two_theta | I (rel.) | h k l |
| --- | --- | --- |
| 22.26 | 44 | 1 0 3 |
| 26.22 | 100 | 1 0 5 |
| 28.00 | 47 | 1 1 0 |
| 31.30 | 17 | 1 0 7 |
| 39.71 | 52 | 1 1 8 |
| 40.02 | 41 | 2 0 0 |
| 48.48 | 39 | 2 1 5 |
| 57.88 | 14 | 2 2 0 |
| 64.62 | 17 | 1 1 16 |
| 72.48 | 18 | 3 1 8 |

Atomic structure:
```
data_Np4TeS6
_chemical_formula_sum 'Np8 Te2 S12'
_space_group_name_H-M_alt 'I 4/m m m'
_space_group_IT_number 139
_space_group_name_Hall '-I 4 2'
_cell_length_a 4.506
_cell_length_b 4.506
_cell_length_c 25.874
_cell_angle_alpha 90.00
_cell_angle_beta 90.00
_cell_angle_gamma 90.00
loop_
_atom_site_label
_atom_site_type_symbol
_atom_site_fract_x
_atom_site_fract_y
_atom_site_fract_z
Np1 Np 0.000 0.000 0.067
Np2 Np 0.000 0.000 0.311
Te1 Te 0.000 0.000 0.500
S1 S 0.000 0.500 0.124
S2 S 0.000 0.500 0.250
```

=====

3.
This entry pairs a crystal structure of CaI with its theoretical powder X-ray diffraction pattern. Radiation: Cu Kα X-rays. Structure: a cell relaxed with PBE.

The 10 most intense peaks (2θ from 10° to 90°), sorted by position:
| two_theta | I (rel.) | h k l |
| --- | --- | --- |
| 12.62 | 13 | 0 1 1 |
| 14.53 | 76 | 0 2 0 |
| 20.72 | 14 | 0 0 2 |
| 23.08 | 27 | 1 1 0 |
| 25.40 | 34 | 0 2 2 |
| 31.19 | 100 | 1 1 2 |
| 36.16 | 22 | 0 4 2 |
| 37.69 | 16 | 1 3 2 |
| 43.28 | 12 | 1 5 0 |
| 53.33 | 12 | 1 3 4 |

Atomic structure:
```
data_CaI
_chemical_formula_sum 'Ca4 I4'
_space_group_name_H-M_alt 'I m a 2'
_space_group_IT_number 46
_space_group_name_Hall 'I 2 -2a'
_cell_length_a 4.062
_cell_length_b 12.192
_cell_length_c 8.573
_cell_angle_alpha 90.00
_cell_angle_beta 90.00
_cell_angle_gamma 90.00
loop_
_atom_site_label
_atom_site_type_symbol
_atom_site_fract_x
_atom_site_fract_y
_atom_site_fract_z
Ca1 Ca 0.250 0.135 0.000
I1 I 0.250 0.731 0.232
```